(1)
Calculated XRD peak list of B2S3 for CuKα, from a PBE-relaxed structure.
Lines closer than 0.1° are merged.

```
40
Lattice="4.756 0.000 0.000 0.000 10.928 0.000 -0.018 0.000 19.697" Properties=species:S:1:pos:R:3 pbc="T T T"
B 0.115 2.549 4.723
B 0.106 2.915 14.571
B 0.415 5.670 13.501
B 0.424 10.722 3.652
B 1.102 2.155 1.974
B 1.094 3.309 11.823
B 2.064 1.057 10.054
B 2.073 4.407 0.205
B 2.665 6.520 19.492
B 2.674 9.871 9.644
B 3.645 7.619 7.874
B 3.636 8.773 17.723
B 4.314 0.206 16.045
B 4.323 5.258 6.196
B 4.632 8.013 5.126
B 4.623 8.378 14.975
S 0.058 6.234 4.770
S 0.049 10.158 14.619
S 0.397 7.500 13.461
S 0.406 8.891 3.612
S 0.681 2.076 13.079
S 0.689 3.388 3.230
S 1.021 0.352 2.029
S 1.012 5.112 11.878
S 1.678 2.654 0.302
S 1.669 2.809 10.151
S 2.084 5.803 1.385
S 2.076 10.589 11.233
S 2.663 0.339 8.464
S 2.654 5.125 18.312
S 3.069 8.118 9.546
S 3.060 8.273 19.395
S 3.726 5.816 7.819
S 3.718 10.576 17.668
S 4.049 7.540 16.467
S 4.058 8.852 6.618
S 4.332 2.036 16.085
S 4.341 3.428 6.236
S 4.689 0.770 5.079
S 4.680 4.694 14.927
```

Principal peaks in the range 2θ = 15–90°, by angle:
| Position (°2θ) | I/Imax |
| --- | --- |
| 15.75 | 8.6 |
| 20.37 | 11.0 |
| 20.75 | 100.0 |
| 20.86 | 16.4 |
| 27.93 | 9.5 |
| 30.84 | 8.9 |
| 31.80 | 17.7 |
| 33.11 | 12.0 |
| 40.49 | 7.7 |
| 44.65 | 8.6 |

(2)
Calculated XRD peak list of BS2 for CuKα, from a PBE-relaxed structure.
Lines closer than 0.1° are merged.

```
48
Lattice="12.599 0.000 0.000 0.000 5.065 0.000 -7.089 0.000 21.004" Properties=species:S:1:pos:R:3 pbc="T T T"
B -1.561 0.806 7.791
B -5.105 1.726 18.294
B 0.975 3.530 3.309
B -2.570 4.068 13.811
B -3.486 0.945 20.381
B 0.058 1.587 9.879
B -0.382 3.007 12.514
B 3.163 4.591 2.012
B 2.347 0.474 18.993
B 5.892 2.058 8.491
B 5.452 3.478 11.126
B 8.996 4.120 0.623
B 8.079 0.997 7.193
B 4.535 1.535 17.695
B 10.615 3.339 2.711
B 7.071 4.259 13.213
S -0.652 2.959 3.895
S -4.196 4.639 14.397
S -5.231 0.901 19.900
S -1.687 1.631 9.398
S -2.166 3.197 12.276
S 1.378 4.401 1.774
S 0.049 0.248 7.203
S -3.495 2.285 17.705
S 2.291 3.137 4.479
S -1.253 4.461 14.981
S 1.267 0.840 8.768
S -2.277 1.693 19.271
S 4.371 0.325 0.908
S 0.826 2.207 11.411
S 0.390 3.662 14.008
S 3.934 3.936 3.506
S 1.576 1.129 17.498
S 5.120 1.403 6.996
S 4.684 2.858 9.594
S 1.139 4.740 20.096
S 7.787 3.372 1.734
S 4.243 4.225 12.236
S 6.763 0.604 6.023
S 3.219 1.928 16.525
S 9.005 2.780 3.300
S 5.461 4.817 13.802
S 4.132 0.664 19.230
S 7.676 1.868 8.728
S 7.196 3.434 11.607
S 10.741 4.164 1.104
S 9.706 0.426 6.608
S 6.162 2.106 17.110
```

Principal peaks in the range 2θ = 15–90°, by angle:
| Position (°2θ) | I/Imax |
| --- | --- |
| 16.12 | 12.1 |
| 19.46 | 100.0 |
| 19.85 | 28.9 |
| 21.54 | 42.6 |
| 21.66 | 41.1 |
| 23.90 | 12.6 |
| 33.93 | 17.9 |
| 38.26 | 11.8 |
| 41.05 | 19.7 |
| 43.32 | 11.1 |

(3)
Calculated XRD peak list of Sc5BS4 for CuKα, from a PBE-relaxed structure.
Lines closer than 0.1° are merged.

```
10
Lattice="-4.100 4.100 2.581 4.100 -4.100 2.581 4.100 4.100 -2.581" Properties=species:S:1:pos:R:3 pbc="T T T"
Sc 0.000 0.000 0.000
Sc 3.347 1.844 0.000
Sc 2.256 -0.753 2.581
Sc 1.844 4.853 0.000
Sc 0.753 2.256 2.581
B 0.000 0.000 2.581
S 5.719 0.781 0.000
S 0.781 2.481 0.000
S 3.319 1.619 2.581
S -1.619 3.319 2.581
```

Principal peaks in the range 2θ = 15–90°, by angle:
| Position (°2θ) | I/Imax |
| --- | --- |
| 29.89 | 18.8 |
| 34.59 | 100.0 |
| 34.76 | 50.6 |
| 43.48 | 6.4 |
| 49.72 | 28.6 |
| 49.85 | 63.2 |
| 62.10 | 27.6 |
| 72.97 | 7.3 |
| 83.38 | 19.8 |
| 83.72 | 12.8 |

What is the formula in the first record?
B2S3